This entry pairs a crystal structure of PaGaPt2 with its computed powder diffractogram. Radiation: Cu Ka. Structure: a crystal structure in the Materials Project, relaxed with PBE.
Lines closer than 0.1° are merged.

```
PaGaPt2
1.0
0.0000 3.3789 3.3789
3.3789 0.0000 3.3789
3.3789 3.3789 0.0000
Pa Ga Pt
1 1 2
Direct
0.0000 0.0000 0.0000
0.5000 0.5000 0.5000
0.2500 0.2500 0.2500
0.7500 0.7500 0.7500
```

Principal peaks in the range 15° ≤ 2θ ≤ 90°, sorted by position:
two_theta, I (rel.)
22.79, 12
37.65, 100
44.46, 6
54.30, 18
59.64, 3
67.95, 36
80.38, 11
84.89, 2